1.
Structure and calculated powder diffraction line list of Ce2Sn5Pt3 (a structure optimized by DFT (PBE); Cu Kα).
Neutral-atom scattering factors, no anomalous dispersion.

Crystal structure
```
data_Ce2Sn5Pt3
_chemical_formula_sum 'Ce8 Sn20 Pt12'
_cell_length_a 4.604
_cell_length_b 26.855
_cell_length_c 7.408
_cell_angle_alpha 90.00
_cell_angle_beta 90.00
_cell_angle_gamma 90.00
_symmetry_space_group_name_H-M 'C m c 21'
_symmetry_Int_Tables_number 36
_symmetry_space_group_name_Hall 'C 2c -2'
loop_
_atom_site_label
_atom_site_type_symbol
_atom_site_fract_x
_atom_site_fract_y
_atom_site_fract_z
Ce1 Ce 0.000 0.022 0.000
Ce2 Ce 0.000 0.329 0.023
Sn1 Sn 0.000 0.097 0.366
Sn2 Sn 0.000 0.205 0.821
Sn3 Sn 0.000 0.211 0.248
Sn4 Sn 0.000 0.380 0.499
Sn5 Sn 0.000 0.451 0.164
Pt1 Pt 0.000 0.105 0.745
Pt2 Pt 0.000 0.278 0.541
Pt3 Pt 0.000 0.450 0.782
```

Top 6 peaks for 2θ from 5° to 70°, sorted by position:
2θ/deg  I/Imax
32.60  100
32.70  55
35.86  22
39.12  61
42.76  24
43.64  34

2.
Structure and calculated powder diffraction line list of Sr3Ce2Zn2Pt4 (a structure optimized by DFT (PBE); Cu Kα).
Neutral-atom scattering factors, no anomalous dispersion.

Crystal structure
```
data_Sr3Ce2Zn2Pt4
_chemical_formula_sum 'Sr3 Ce2 Zn2 Pt4'
_cell_length_a 4.4158
_cell_length_b 4.4158
_cell_length_c 17.2023
_cell_angle_alpha 90.00
_cell_angle_beta 90.00
_cell_angle_gamma 120.00
_symmetry_space_group_name_H-M 'P -3 m 1'
_symmetry_Int_Tables_number 164
_symmetry_space_group_name_Hall '-P 3 2"'
loop_
_atom_site_label
_atom_site_type_symbol
_atom_site_fract_x
_atom_site_fract_y
_atom_site_fract_z
Sr1 Sr 0.0000 0.0000 0.0000
Sr2 Sr 0.0000 0.0000 0.2477
Ce1 Ce 0.3333 0.6667 0.5653
Zn1 Zn 0.3333 0.6667 0.1250
Pt1 Pt 0.3333 0.6667 0.3652
Pt2 Pt 0.3333 0.6667 0.8768
```

Top 6 peaks for 2θ from 5° to 70°, sorted by position:
2θ/deg  I/Imax
20.65  32
25.49  42
31.30  100
39.27  39
40.87  83
52.36  25

3.
Structure and calculated powder diffraction line list of CeTaPt (a structure optimized by DFT (PBE); Cu Kα).
Neutral-atom scattering factors, no anomalous dispersion.

Crystal structure
```
data_CeTaPt
_chemical_formula_sum 'Ce8 Ta8 Pt8'
_cell_length_a 5.475
_cell_length_b 7.651
_cell_length_c 12.068
_cell_angle_alpha 90.00
_cell_angle_beta 90.00
_cell_angle_gamma 90.00
_symmetry_space_group_name_H-M 'F m m m'
_symmetry_Int_Tables_number 69
_symmetry_space_group_name_Hall '-F 2 2'
loop_
_atom_site_label
_atom_site_type_symbol
_atom_site_fract_x
_atom_site_fract_y
_atom_site_fract_z
Ce1 Ce 0.000 0.175 0.000
Ta1 Ta 0.250 0.250 0.250
Pt1 Pt 0.000 0.000 0.374
```

Top 6 peaks for 2θ from 5° to 70°, sorted by position:
2θ/deg  I/Imax
29.94  74
36.03  56
37.98  100
39.70  64
40.52  34
43.32  47

4.
Structure and calculated powder diffraction line list of TbCe2Pt3 (a structure optimized by DFT (PBE); Cu Kα).
Neutral-atom scattering factors, no anomalous dispersion.

Crystal structure
```
data_TbCe2Pt3
_chemical_formula_sum 'Tb16 Ce32 Pt48'
_cell_length_a 8.237
_cell_length_b 11.646
_cell_length_c 24.681
_cell_angle_alpha 90.00
_cell_angle_beta 90.00
_cell_angle_gamma 90.00
_symmetry_space_group_name_H-M 'F d d d'
_symmetry_Int_Tables_number 70
loop_
_symmetry_equiv_pos_as_xyz
'x,y,z'
'-x,-y,-z'
'-x+1/4,-y+1/4,z'
'x+1/4,y+1/4,-z'
'x,-y+1/4,-z+1/4'
'-x,y+1/4,z+1/4'
'-x+1/4,y,-z+1/4'
'x+1/4,-y,z+1/4'
'x,y+1/2,z+1/2'
'-x,-y+1/2,-z+1/2'
'-x+1/4,-y+3/4,z+1/2'
'x+1/4,y+3/4,-z+1/2'
'x,-y+3/4,-z+3/4'
'-x,y+3/4,z+3/4'
'-x+1/4,y+1/2,-z+3/4'
'x+1/4,-y+1/2,z+3/4'
'x+1/2,y,z+1/2'
'-x+1/2,-y,-z+1/2'
'-x+3/4,-y+1/4,z+1/2'
'x+3/4,y+1/4,-z+1/2'
'x+1/2,-y+1/4,-z+3/4'
'-x+1/2,y+1/4,z+3/4'
'-x+3/4,y,-z+3/4'
'x+3/4,-y,z+3/4'
'x+1/2,y+1/2,z'
'-x+1/2,-y+1/2,-z'
'-x+3/4,-y+3/4,z'
'x+3/4,y+3/4,-z'
'x+1/2,-y+3/4,-z+1/4'
'-x+1/2,y+3/4,z+1/4'
'-x+3/4,y+1/2,-z+1/4'
'x+3/4,-y+1/2,z+1/4'
loop_
_atom_site_label
_atom_site_type_symbol
_atom_site_fract_x
_atom_site_fract_y
_atom_site_fract_z
Tb1 Tb 0.125 0.125 0.042
Ce1 Ce 0.125 0.125 0.375
Ce2 Ce 0.125 0.125 0.542
Pt1 Pt 0.124 0.374 0.708
Pt2 Pt 0.124 0.375 0.875
```

Top 6 peaks for 2θ from 5° to 70°, sorted by position:
2θ/deg  I/Imax
26.52  3
30.72  100
43.99  75
52.11  2
54.61  27
63.97  12

5.
Structure and calculated powder diffraction line list of Ce4TcPt (a structure optimized by DFT (PBE); Cu Kα).
Neutral-atom scattering factors, no anomalous dispersion.

Crystal structure
```
data_Ce4TcPt
_chemical_formula_sum 'Ce16 Tc4 Pt4'
_cell_length_a 5.305
_cell_length_b 20.123
_cell_length_c 5.906
_cell_angle_alpha 90.00
_cell_angle_beta 90.00
_cell_angle_gamma 90.00
_symmetry_space_group_name_H-M 'C m c 21'
_symmetry_Int_Tables_number 36
_symmetry_space_group_name_Hall 'C 2c -2'
loop_
_atom_site_label
_atom_site_type_symbol
_atom_site_fract_x
_atom_site_fract_y
_atom_site_fract_z
Ce1 Ce 0.000 0.065 0.000
Ce2 Ce 0.000 0.209 0.227
Ce3 Ce 0.000 0.227 0.775
Ce4 Ce 0.000 0.383 0.096
Tc1 Tc 0.000 0.345 0.472
Pt1 Pt 0.000 0.078 0.496
```

Top 6 peaks for 2θ from 5° to 70°, sorted by position:
2θ/deg  I/Imax
17.29  42
31.57  46
33.79  80
35.52  100
37.34  39
41.57  44

6.
Structure and calculated powder diffraction line list of Ce8TcPt2 (a structure optimized by DFT (PBE); Cu Kα).
Neutral-atom scattering factors, no anomalous dispersion.

Crystal structure
```
data_Ce8TcPt2
_chemical_formula_sum 'Ce16 Tc2 Pt4'
_cell_length_a 7.930
_cell_length_b 12.957
_cell_length_c 5.766
_cell_angle_alpha 90.00
_cell_angle_beta 111.48
_cell_angle_gamma 90.00
_symmetry_space_group_name_H-M 'C 1 m 1'
_symmetry_Int_Tables_number 8
_symmetry_space_group_name_Hall 'C -2y'
loop_
_atom_site_label
_atom_site_type_symbol
_atom_site_fract_x
_atom_site_fract_y
_atom_site_fract_z
Ce1 Ce 0.000 0.000 0.000
Ce2 Ce 0.054 0.397 0.755
Ce3 Ce 0.173 0.103 0.575
Ce4 Ce 0.226 0.500 0.329
Ce5 Ce 0.363 0.214 0.165
Tc1 Tc 0.364 0.000 0.165
Pt1 Pt 0.363 0.309 0.665
```

Top 6 peaks for 2θ from 5° to 70°, sorted by position:
2θ/deg  I/Imax
31.66  57
31.80  59
32.28  63
33.37  59
34.80  82
38.57  100